No. 1
MnGa2Br4: theoretical powder diffractogram (a wavelength of 1.5418 Å), based on the GGA-PBE geometry in Alexandria.
Intensities are scaled so that the largest is 100.

Top 10 peaks for 15° ≤ 2θ ≤ 90°, low angle first:
- 2θ 23.59, I = 37, (1 1 0)
- 2θ 26.35, I = 69, (1 1 2)
- 2θ 33.37, I = 67, (1 1 4)
- 2θ 33.61, I = 100, (2 0 0)
- 2θ 33.77, I = 33, (1 0 5)
- 2θ 35.19, I = 32, (0 0 6)
- 2θ 48.27, I = 35, (2 2 0)
- 2θ 49.46, I = 47, (2 0 6)
- 2θ 59.95, I = 24, (3 1 4)
- 2θ 61.13, I = 24, (2 2 6)

Atomic structure:
a = 5.3329 Å, b = 5.3329 Å, c = 15.3004 Å
α = 90.00°, β = 90.00°, γ = 90.00°
Space group I4/mmm (No. 139)
Unique sites:
1 Mn 0.0000 0.0000 0.0000 (multiplicity 2)
2 Ga 0.0000 0.0000 0.3612 (multiplicity 4)
3 Br 0.0000 0.0000 0.1733 (multiplicity 4)
4 Br 0.0000 0.5000 0.0000 (multiplicity 4)

No. 2
MnGaBr6: theoretical powder diffractogram (a wavelength of 1.5418 Å), based on the GGA-PBE geometry in Alexandria.
Intensities are scaled so that the largest is 100.

Top 10 peaks for 15° ≤ 2θ ≤ 90°, low angle first:
- 2θ 29.21, I = 99, (1 -1 1)
- 2θ 30.26, I = 58, (0 0 2)
- 2θ 30.42, I = 92, (1 2 0)
- 2θ 30.82, I = 100, (-1 1 1)
- 2θ 31.41, I = 57, (2 1 0)
- 2θ 31.60, I = 59, (2 1 2)
- 2θ 32.16, I = 64, (1 2 2)
- 2θ 41.50, I = 52, (2 1 3)
- 2θ 46.36, I = 52, (0 3 1)
- 2θ 46.81, I = 45, (3 0 1)

Atomic structure:
a = 6.4876 Å, b = 6.5605 Å, c = 6.8500 Å
α = 66.37°, β = 63.00°, γ = 63.89°
Space group P-1 (No. 2)
Unique sites:
1 Mn 0.0000 0.0000 0.0000 (multiplicity 1)
2 Ga 0.5000 0.5000 0.5000 (multiplicity 1)
3 Br 0.0838 0.7587 0.7580 (multiplicity 2)
4 Br 0.2727 0.5775 0.2688 (multiplicity 2)
5 Br 0.3798 0.0916 0.7638 (multiplicity 2)

No. 3
Rb4Mn3GaBr12: theoretical powder diffractogram (a wavelength of 1.5418 Å), based on the GGA-PBE geometry in Alexandria.
Intensities are scaled so that the largest is 100.

Top 10 peaks for 15° ≤ 2θ ≤ 90°, low angle first:
- 2θ 16.36, I = 13, (2 0 0)
- 2θ 23.22, I = 14, (2 2 0)
- 2θ 28.54, I = 95, (2 2 2)
- 2θ 33.08, I = 100, (4 0 0)
- 2θ 47.48, I = 70, (4 4 0)
- 2θ 56.33, I = 40, (6 2 2)
- 2θ 59.08, I = 24, (4 4 4)
- 2θ 76.69, I = 16, (6 6 2)
- 2θ 79.06, I = 30, (8 4 0)
- 2θ 88.41, I = 23, (8 4 4)

Atomic structure:
a = 10.8334 Å, b = 10.8334 Å, c = 10.8334 Å
α = 90.00°, β = 90.00°, γ = 90.00°
Space group Im-3m (No. 229)
Unique sites:
1 Rb 0.2500 0.2500 0.2500 (multiplicity 8)
2 Mn 0.0000 0.0000 0.5000 (multiplicity 6)
3 Ga 0.0000 0.0000 0.0000 (multiplicity 2)
4 Br 0.0000 0.0000 0.2603 (multiplicity 12)
5 Br 0.0000 0.2500 0.5000 (multiplicity 12)

No. 4
Na3GaBr4: theoretical powder diffractogram (a wavelength of 1.5418 Å), based on the GGA-PBE geometry in Alexandria.
Intensities are scaled so that the largest is 100.

Top 10 peaks for 15° ≤ 2θ ≤ 90°, low angle first:
- 2θ 19.90, I = 48, (0 0 2)
- 2θ 20.00, I = 100, (0 2 1)
- 2θ 24.79, I = 76, (1 0 2)
- 2θ 29.33, I = 76, (2 0 0)
- 2θ 34.89, I = 93, (0 2 3)
- 2θ 35.08, I = 46, (0 4 0)
- 2θ 35.74, I = 66, (2 2 1)
- 2θ 46.21, I = 82, (2 2 3)
- 2θ 46.35, I = 41, (2 4 0)
- 2θ 70.80, I = 22, (2 6 3)

Atomic structure:
a = 6.0903 Å, b = 10.2328 Å, c = 8.9234 Å
α = 90.00°, β = 90.00°, γ = 90.00°
Space group Pmmn (No. 59, origin choice 2)
Unique sites:
1 Na 0.2500 0.0017 0.1660 (multiplicity 4)
2 Na 0.2500 0.2500 0.6688 (multiplicity 2)
3 Ga 0.2500 0.7500 0.6654 (multiplicity 2)
4 Br 0.2500 0.0084 0.8397 (multiplicity 4)
5 Br 0.2500 0.2500 0.3372 (multiplicity 2)
6 Br 0.2500 0.7500 0.3199 (multiplicity 2)

No. 5
Na3GaBr6: theoretical powder diffractogram (a wavelength of 1.5418 Å), based on the GGA-PBE geometry in Alexandria.
Intensities are scaled so that the largest is 100.

Top 10 peaks for 15° ≤ 2θ ≤ 90°, low angle first:
- 2θ 18.58, I = 56, (1 3 0)
- 2θ 21.93, I = 52, (1 3 1)
- 2θ 22.89, I = 97, (3 1 0)
- 2θ 23.22, I = 43, (0 0 2)
- 2θ 25.05, I = 29, (1 1 2)
- 2θ 25.64, I = 100, (0 4 1)
- 2θ 30.45, I = 94, (3 3 1)
- 2θ 32.79, I = 61, (0 4 2)
- 2θ 36.45, I = 65, (3 5 0)
- 2θ 51.41, I = 43, (6 0 2)

Atomic structure:
a = 12.0354 Å, b = 15.6169 Å, c = 7.6618 Å
α = 90.00°, β = 90.00°, γ = 90.00°
Space group Cmc2_1 (No. 36)
Unique sites:
1 Na 0.0000 0.0539 0.0000 (multiplicity 4)
2 Na 0.2387 0.3956 0.0730 (multiplicity 8)
3 Ga 0.0000 0.3008 0.7824 (multiplicity 4)
4 Br 0.0000 0.3138 0.4802 (multiplicity 4)
5 Br 0.0000 0.4315 0.9422 (multiplicity 4)
6 Br 0.1596 0.2240 0.8823 (multiplicity 8)
7 Br 0.1663 0.0297 0.2720 (multiplicity 8)

No. 6
Na2Ga2Br7: theoretical powder diffractogram (a wavelength of 1.5418 Å), based on the GGA-PBE geometry in Alexandria.
Intensities are scaled so that the largest is 100.

Top 10 peaks for 15° ≤ 2θ ≤ 90°, low angle first:
- 2θ 16.37, I = 50, (0 2 1)
- 2θ 19.91, I = 100, (1 1 1)
- 2θ 22.20, I = 50, (1 3 0)
- 2θ 23.90, I = 24, (1 3 -1)
- 2θ 26.08, I = 32, (1 3 1)
- 2θ 27.17, I = 77, (1 2 -2)
- 2θ 28.64, I = 36, (1 4 -1)
- 2θ 38.62, I = 20, (2 0 2)
- 2θ 40.74, I = 35, (2 5 -1)
- 2θ 46.19, I = 35, (0 5 3)

Atomic structure:
a = 6.7349 Å, b = 15.0657 Å, c = 7.9091 Å
α = 90.00°, β = 100.07°, γ = 90.00°
Space group P2_1/c (No. 14)
Unique sites:
1 Na 0.1232 0.1519 0.3993 (multiplicity 4)
2 Ga 0.3377 0.6132 0.6696 (multiplicity 4)
3 Br 0.0556 0.6830 0.4783 (multiplicity 4)
4 Br 0.1953 0.5441 0.9019 (multiplicity 4)
5 Br 0.4129 0.2220 0.7034 (multiplicity 4)
6 Br 0.5000 0.0000 0.0000 (multiplicity 2)